Record 1
Starting from a cell relaxed with GGA-PBE, the X-ray powder pattern of Mg2Zr14O5 was computed for Cu Ka.

Cell and atoms:
abc: 45.2949 45.2949 45.2949
angles: 4.10 4.10 4.10
Positions (direct):
Mg: 0.0000 0.0000 0.0000
Mg: 0.1365 0.1365 0.1365
Zr: 0.0696 0.0696 0.0696
Zr: 0.1988 0.1988 0.1988
Zr: 0.2566 0.2566 0.2566
Zr: 0.3137 0.3137 0.3137
Zr: 0.3780 0.3780 0.3780
Zr: 0.4513 0.4513 0.4513
Zr: 0.5135 0.5135 0.5135
Zr: 0.5706 0.5706 0.5706
Zr: 0.6285 0.6285 0.6285
Zr: 0.6864 0.6864 0.6864
Zr: 0.7610 0.7610 0.7610
Zr: 0.8226 0.8226 0.8226
Zr: 0.8848 0.8848 0.8848
Zr: 0.9427 0.9427 0.9427
O: 0.0847 0.0847 0.0847
O: 0.3931 0.3931 0.3931
O: 0.7014 0.7014 0.7014
O: 0.7761 0.7761 0.7761
O: 0.8377 0.8377 0.8377

Most intense lines, 15 to 90 degrees two-theta, by angle:
- 2θ 33.6, rel. 100.0
- 2θ 34.3, rel. 14.0
- 2θ 37.4, rel. 5.7
- 2θ 38.5, rel. 26.2
- 2θ 39.6, rel. 22.9
- 2θ 54.8, rel. 5.7
- 2θ 56.0, rel. 8.2
- 2θ 56.8, rel. 24.2
- 2θ 67.7, rel. 21.5
- 2θ 68.1, rel. 5.3

Record 2
Starting from a cell relaxed with GGA-PBE, the X-ray powder pattern of V2Cu3Sb4 was computed for Cu Ka.

Cell and atoms:
abc: 8.5666 8.5666 5.3203
angles: 90.00 90.00 120.00
Positions (direct):
V: 0.0000 0.0000 0.0000
V: 0.0000 0.0000 0.5000
V: 0.3333 0.6667 0.2500
V: 0.6667 0.3333 0.7500
Cu: 0.0000 0.5000 0.0000
Cu: 0.0000 0.5000 0.5000
Cu: 0.5000 0.0000 0.0000
Cu: 0.5000 0.0000 0.5000
Cu: 0.5000 0.5000 0.0000
Cu: 0.5000 0.5000 0.5000
Sb: 0.1556 0.3111 0.2500
Sb: 0.1556 0.8444 0.2500
Sb: 0.3111 0.1556 0.7500
Sb: 0.3333 0.6667 0.7500
Sb: 0.6667 0.3333 0.2500
Sb: 0.6889 0.8444 0.2500
Sb: 0.8444 0.1556 0.7500
Sb: 0.8444 0.6889 0.7500

Most intense lines, 15 to 90 degrees two-theta, by angle:
- 2θ 29.4, rel. 100.0
- 2θ 41.8, rel. 75.5
- 2θ 42.2, rel. 80.3
- 2θ 52.2, rel. 17.8
- 2θ 57.6, rel. 14.7
- 2θ 60.9, rel. 22.6
- 2θ 69.3, rel. 14.0
- 2θ 76.9, rel. 20.8
- 2θ 77.1, rel. 11.3
- 2θ 86.0, rel. 19.2

Record 3
Starting from a cell relaxed with GGA-PBE, the X-ray powder pattern of Mg6MnAl was computed for Cu Ka.

Cell and atoms:
abc: 4.9509 6.0947 10.7911
angles: 90.00 90.00 90.00
Positions (direct):
Mg: 0.0000 0.0000 0.0000
Mg: 0.0000 0.0000 0.4974
Mg: 0.0000 0.2461 0.2552
Mg: 0.0000 0.2539 0.7552
Mg: 0.0000 0.5000 0.5000
Mg: 0.0000 0.5000 0.9974
Mg: 0.0000 0.7461 0.7552
Mg: 0.0000 0.7539 0.2552
Mg: 0.5000 0.2502 0.0859
Mg: 0.5000 0.2498 0.5859
Mg: 0.5000 0.7498 0.0859
Mg: 0.5000 0.7502 0.5859
Mn: 0.5000 0.0000 0.3369
Mn: 0.5000 0.5000 0.8369
Al: 0.5000 0.0000 0.8370
Al: 0.5000 0.5000 0.3370

Most intense lines, 15 to 90 degrees two-theta, by angle:
- 2θ 33.2, rel. 12.7
- 2θ 33.8, rel. 26.2
- 2θ 36.3, rel. 39.7
- 2θ 38.0, rel. 53.3
- 2θ 38.5, rel. 100.0
- 2θ 50.4, rel. 15.9
- 2θ 59.7, rel. 17.2
- 2θ 66.8, rel. 18.0
- 2θ 71.9, rel. 18.9
- 2θ 74.0, rel. 13.6